Diffraction record for Cs2YNbF6. The powder diffractogram is calculated, not measured: it uses a crystal structure in Alexandria, relaxed with PBE and CuKα.
Peak positions follow from Bragg's law for the DFT cell and can differ from measured ones.

Lattice parameters (Å, degrees): 9.187 9.187 9.187 90.00 90.00 90.00
Space group Fm-3m (No. 225)
Asymmetric unit:
Cs 0.250 0.250 0.250 (multiplicity 8)
Y 0.000 0.000 0.000 (multiplicity 4)
Nb 0.000 0.000 0.500 (multiplicity 4)
F 0.000 0.000 0.245 (multiplicity 24)

Main lines, most intense first (10° ≤ 2θ ≤ 90°):
- 2θ = 27.46°, I = 100, (2 2 0)
- 2θ = 48.55°, I = 41, (4 2 2)
- 2θ = 39.22°, I = 36, (4 0 0)
- 2θ = 56.68°, I = 23, (4 4 0)
- 2θ = 77.80°, I = 21, (6 4 2)
- 2θ = 64.11°, I = 18, (6 2 0)
- 2θ = 33.80°, I = 9, (2 2 2)
- 2θ = 71.09°, I = 8, (4 4 4)
- 2θ = 84.34°, I = 4, (8 0 0)
- 2θ = 67.64°, I = 3, (6 2 2)